1.
VO2F: theoretical XRD peak list (Cu Ka), based on a DFT-relaxed cell (PBE+U, the Materials Project).

Cell and atoms:
```
VO2F
1.0
8.7650 -2.6141 0.0000
8.7650 2.6141 0.0000
-3.0159 0.0000 6.7239
V O F
6 12 6
direct
0.0035 0.9965 0.5000
0.2886 0.3765 0.8287
0.3765 0.2886 0.3287
0.6186 0.7155 0.6588
0.7155 0.6186 0.1588
0.9965 0.0035 0.0000
0.0191 0.4765 0.7519
0.0901 0.9310 0.7263
0.1149 0.7138 0.9187
0.2835 0.4034 0.5561
0.3121 0.8945 0.5309
0.4034 0.2835 0.0561
0.4765 0.0191 0.2519
0.5886 0.7544 0.8872
0.7138 0.1149 0.4187
0.7544 0.5886 0.3872
0.8945 0.3121 0.0309
0.9310 0.0901 0.2263
0.2320 0.6511 0.3644
0.3695 0.7873 0.0879
0.5509 0.9891 0.6969
0.6511 0.2320 0.8644
0.7873 0.3695 0.5879
0.9891 0.5509 0.1969
```

Principal peaks in the range 10 to 90 degrees two-theta, by angle:
23.8 deg, I = 100
24.2 deg, I = 53
33.6 deg, I = 7
34.0 deg, I = 13
34.3 deg, I = 13
48.8 deg, I = 20
49.5 deg, I = 9
54.5 deg, I = 10
55.0 deg, I = 10
55.4 deg, I = 17


2.
SrFe2Se2O: theoretical XRD peak list (Cu Ka), based on a DFT-relaxed cell (PBE+U, the Materials Project).

Cell and atoms:
```
SrFe2Se2O
1.0
4.1113 0.0000 0.0000
-0.0031 6.7069 0.0000
-0.0451 -0.0161 9.9853
Sr Fe Se O
2 4 4 2
direct
0.0000 0.0000 0.0000
0.4987 0.0028 0.4988
0.0049 0.3732 0.3368
0.5009 0.6279 0.1637
0.5050 0.6320 0.8350
0.9993 0.3720 0.6650
0.0011 0.7494 0.3001
0.4994 0.2536 0.8018
0.4997 0.2520 0.2003
0.9979 0.7492 0.6980
0.4976 0.7823 0.0002
0.9972 0.2193 0.5005
```

Principal peaks in the range 10 to 90 degrees two-theta, by angle:
22.2 deg, I = 87
27.0 deg, I = 99
32.2 deg, I = 79
34.6 deg, I = 100
34.8 deg, I = 80
35.7 deg, I = 71
44.1 deg, I = 58
46.2 deg, I = 34
49.1 deg, I = 27
49.8 deg, I = 27


3.
FeOF: theoretical XRD peak list (Cu Ka), based on a DFT-relaxed cell (PBE+U, the Materials Project).

Cell and atoms:
```
FeOF
1.0
4.7218 0.0000 0.0000
0.0000 3.0998 0.0000
-0.0063 0.0000 14.0190
Fe O F
6 6 6
direct
0.0000 0.0000 0.0000
0.0001 0.0000 0.3365
0.0568 0.0000 0.6919
0.4918 0.5000 0.5334
0.4934 0.5000 0.8575
0.4980 0.5000 0.1935
0.2157 0.5000 0.7500
0.3127 0.0000 0.2491
0.3166 0.0000 0.5902
0.3227 0.0000 0.9166
0.8076 0.5000 0.2882
0.8110 0.5000 0.9510
0.2052 0.5000 0.0843
0.2105 0.5000 0.4204
0.7056 0.0000 0.1192
0.7071 0.0000 0.4600
0.7300 0.0000 0.7802
0.8325 0.5000 0.6209
```

Principal peaks in the range 10 to 90 degrees two-theta, by angle:
26.8 deg, I = 100
34.6 deg, I = 30
34.7 deg, I = 28
39.8 deg, I = 19
52.5 deg, I = 30
52.8 deg, I = 27
55.3 deg, I = 16
59.7 deg, I = 10
66.6 deg, I = 23
67.3 deg, I = 8


4.
NaMgCo2Mo2O10: theoretical XRD peak list (Cu Ka), based on a DFT-relaxed cell (PBE+U, the Materials Project).

Cell and atoms:
```
NaMgCo2Mo2O10
1.0
5.9473 0.0000 0.0000
-2.5720 5.3679 0.0000
-0.7606 -3.1389 7.0893
Na Mg Co Mo O
1 1 2 2 10
direct
0.0000 0.0000 0.0000
0.0491 0.5810 0.6383
0.4889 0.4468 0.4530
0.9913 0.9486 0.4401
0.3980 0.7493 0.1653
0.5873 0.1542 0.7582
0.1628 0.3183 0.5331
0.2410 0.9988 0.7394
0.2447 0.6661 0.9288
0.2989 0.4475 0.2097
0.3130 0.9895 0.3204
0.6459 0.9087 0.5915
0.7129 0.4680 0.7165
0.7435 0.8911 0.2021
0.7549 0.2272 0.9821
0.8487 0.6055 0.4236
```

Principal peaks in the range 10 to 90 degrees two-theta, by angle:
17.2 deg, I = 26
17.3 deg, I = 28
23.2 deg, I = 100
25.9 deg, I = 31
26.3 deg, I = 28
28.7 deg, I = 69
30.2 deg, I = 38
33.5 deg, I = 75
49.5 deg, I = 24
49.9 deg, I = 23